# La2Al2NiPd3
Calculated powder XRD pattern, a wavelength of 1.5418 Å. Input: DFT lattice parameters and positions (GGA-PBE).
Intensities are scaled so that the largest is 100.

Structural model:
a b c (Å): 4.388 4.388 9.790
angles (deg): 90.00 90.00 120.00
Sites, in units of the cell vectors:
La1 0.000 0.000 0.000
La2 0.333 0.667 0.488
Al1 0.667 0.333 0.237
Al2 0.667 0.333 0.744
Ni1 0.333 0.667 0.186
Pd1 0.000 0.000 0.305
Pd2 0.000 0.000 0.675
Pd3 0.333 0.667 0.812

Peak list (6 most intense, 2θ = 10–90°, sorted by position)
23.4°, rel. 40; 36.3°, rel. 100; 41.1°, rel. 59; 56.0°, rel. 28; 56.3°, rel. 13; 71.8°, rel. 26

# SrZrP2O8
Calculated powder XRD pattern, a wavelength of 1.5418 Å. Input: DFT lattice parameters and positions (GGA-PBE).
Intensities are scaled so that the largest is 100.

Structural model:
a b c (Å): 5.125 7.693 7.841
angles (deg): 92.59 95.75 90.09
Sites, in units of the cell vectors:
Sr1 0.198 0.023 0.272
Sr2 0.802 0.977 0.728
Zr1 0.159 0.527 0.223
Zr2 0.841 0.473 0.777
P1 0.288 0.245 0.869
P2 0.301 0.715 0.626
P3 0.699 0.285 0.374
P4 0.712 0.755 0.131
O1 0.061 0.692 0.731
O2 0.094 0.255 0.702
O3 0.193 0.417 0.964
O4 0.238 0.080 0.957
O5 0.273 0.579 0.476
O6 0.310 0.903 0.575
O7 0.423 0.731 0.166
O8 0.450 0.327 0.255
O9 0.550 0.673 0.745
O10 0.577 0.269 0.834
O11 0.690 0.097 0.425
O12 0.727 0.421 0.524
O13 0.762 0.920 0.043
O14 0.807 0.583 0.036
O15 0.906 0.745 0.298
O16 0.939 0.308 0.269

Peak list (6 most intense, 2θ = 10–90°, sorted by position)
19.8°, rel. 40; 22.8°, rel. 100; 29.0°, rel. 33; 30.3°, rel. 76; 31.0°, rel. 39; 32.5°, rel. 37